Simulated powder XRD pattern of MnSb2F for Cu Kα, from the GGA+U geometry in Alexandria.
Intensities are scaled so that the largest is 100.

Cell and atoms:
a b c (Å): 4.2296 4.2296 20.7297
angles (deg): 90.00 90.00 90.00
Space group I-42d (No. 122)
One atom of each set of equivalent atoms:
Mn: 0.0000 0.0000 0.0000
Sb: 0.2403 0.2500 0.1250
F: 0.0000 0.0000 0.5000

Main lines, by intensity (2θ from 15° to 90°):
2θ/deg	d (Å)	I/Imax	(hkl)
31.1	2.874	100	1 1 2
39.9	2.261	51	1 1 6
46.4	1.958	50	2 0 4
17.1	5.182	45	0 0 4
34.6	2.591	30	0 0 8
71.1	1.327	26	1 1 14
53.8	1.704	21	1 1 10
73.1	1.295	15	0 0 16
76.3	1.247	14	3 1 6
70.4	1.338	14	2 0 12